# Rb2SmAs2O6
Computed X-ray diffraction stick pattern, Cu Kα (weighted mean of Kα1 and Kα2). Input: a structure optimized by DFT (GGA-PBE).

The 6 most intense peaks (2θ from 5° to 70°), sorted by position:
Position (°2θ), intensity
24.3, 46.7
27.8, 33.8
28.0, 88.7
29.2, 52.3
29.8, 100.0
38.8, 38.1

Atomic structure:
```
data_Rb2SmAs2O6
_chemical_formula_sum 'Rb4 Sm2 As4 O12'
_space_group_name_H-M_alt 'C 1 2/m 1'
_space_group_IT_number 12
_cell_length_a 10.3397
_cell_length_b 6.1085
_cell_length_c 7.4881
_cell_angle_alpha 90.00
_cell_angle_beta 116.24
_cell_angle_gamma 90.00
loop_
_space_group_symop_operation_xyz
'x,y,z'
'-x,-y,-z'
'-x,y,-z'
'x,-y,z'
'x+1/2,y+1/2,z'
'-x+1/2,-y+1/2,-z'
'-x+1/2,y+1/2,-z'
'x+1/2,-y+1/2,z'
loop_
_atom_site_label
_atom_site_type_symbol
_atom_site_fract_x
_atom_site_fract_y
_atom_site_fract_z
Rb1 Rb 0.2157 0.0000 0.1894
Sm1 Sm 0.0000 0.0000 0.5000
As1 As 0.0673 0.5000 0.2185
O1 O 0.0154 0.2689 0.7336
O2 O 0.2487 0.0000 0.6085
```

# LiAlC
Computed X-ray diffraction stick pattern, Cu Kα (weighted mean of Kα1 and Kα2). Input: a structure optimized by DFT (GGA-PBE).

The 6 most intense peaks (2θ from 5° to 70°), sorted by position:
Position (°2θ), intensity
19.8, 100.0
30.0, 20.8
32.6, 29.3
35.5, 38.3
48.7, 21.6
51.9, 75.0

Atomic structure:
```
data_LiAlC
_chemical_formula_sum 'Li16 Al16 C16'
_space_group_name_H-M_alt 'F d d 2'
_space_group_IT_number 43
_space_group_name_Hall 'F 2 -2d'
_cell_length_a 7.4762
_cell_length_b 9.8245
_cell_length_c 6.8536
_cell_angle_alpha 90.00
_cell_angle_beta 90.00
_cell_angle_gamma 90.00
loop_
_atom_site_label
_atom_site_type_symbol
_atom_site_fract_x
_atom_site_fract_y
_atom_site_fract_z
Li1 Li 0.0026 0.1139 0.0000
Al1 Al 0.0003 0.1357 0.4983
C1 C 0.0346 0.2498 0.7487
```

# Sc2Tc3Os
Computed X-ray diffraction stick pattern, Cu Kα (weighted mean of Kα1 and Kα2). Input: a structure optimized by DFT (GGA-PBE).

The 6 most intense peaks (2θ from 5° to 70°), sorted by position:
Position (°2θ), intensity
20.9, 100.0
39.7, 31.7
40.4, 61.1
40.6, 30.2
41.2, 28.3
42.6, 76.2

Atomic structure:
```
data_Sc2Tc3Os
_chemical_formula_sum 'Sc4 Tc6 Os2'
_space_group_name_H-M_alt 'C 1 2/m 1'
_space_group_IT_number 12
_cell_length_a 8.9711
_cell_length_b 5.1879
_cell_length_c 5.3226
_cell_angle_alpha 90.00
_cell_angle_beta 124.57
_cell_angle_gamma 90.00
loop_
_space_group_symop_operation_xyz
'x,y,z'
'-x,-y,-z'
'-x,y,-z'
'x,-y,z'
'x+1/2,y+1/2,z'
'-x+1/2,-y+1/2,-z'
'-x+1/2,y+1/2,-z'
'x+1/2,-y+1/2,z'
loop_
_atom_site_label
_atom_site_type_symbol
_atom_site_fract_x
_atom_site_fract_y
_atom_site_fract_z
Sc1 Sc 0.1260 0.0000 0.3774
Tc1 Tc 0.0000 0.5000 0.0000
Tc2 Tc 0.2500 0.2500 0.0000
Os1 Os 0.0000 0.5000 0.5000
```

# U2Hg5As2O18
Computed X-ray diffraction stick pattern, Cu Kα (weighted mean of Kα1 and Kα2). Input: a structure optimized by DFT (GGA-PBE).

The 6 most intense peaks (2θ from 5° to 70°), sorted by position:
Position (°2θ), intensity
16.9, 49.3
19.0, 89.7
27.7, 44.1
28.1, 100.0
28.8, 88.3
29.5, 72.0

Atomic structure:
```
data_U2Hg5As2O18
_chemical_formula_sum 'U2 Hg5 As2 O18'
_space_group_name_H-M_alt 'P -1'
_space_group_IT_number 2
_cell_length_a 7.0742
_cell_length_b 7.2280
_cell_length_c 9.8335
_cell_angle_alpha 105.00
_cell_angle_beta 110.89
_cell_angle_gamma 94.81
loop_
_space_group_symop_operation_xyz
'x,y,z'
'-x,-y,-z'
loop_
_atom_site_label
_atom_site_type_symbol
_atom_site_fract_x
_atom_site_fract_y
_atom_site_fract_z
U1 U 0.1224 0.0107 0.2143
Hg1 Hg 0.1058 0.4199 0.6892
Hg2 Hg 0.4161 0.2944 0.0566
Hg3 Hg 0.5000 0.5000 0.5000
As1 As 0.2760 0.9332 0.6076
O1 O 0.1040 0.2705 0.2686
O2 O 0.1312 0.7508 0.1752
O3 O 0.1478 0.6881 0.5216
O4 O 0.1673 0.0627 0.7235
O5 O 0.1733 0.0782 0.0100
O6 O 0.2688 0.0472 0.4744
O7 O 0.3105 0.5448 0.9164
O8 O 0.4588 0.4461 0.6788
O9 O 0.4824 0.0858 0.2808
```

# Pm8As3PS4
Computed X-ray diffraction stick pattern, Cu Kα (weighted mean of Kα1 and Kα2). Input: a structure optimized by DFT (GGA-PBE).

The 6 most intense peaks (2θ from 5° to 70°), sorted by position:
Position (°2θ), intensity
26.4, 35.0
30.6, 100.0
43.8, 37.0
43.9, 36.5
51.9, 17.3
54.3, 19.4

Atomic structure:
```
data_Pm8As3PS4
_chemical_formula_sum 'Pm24 As9 P3 S12'
_space_group_name_H-M_alt 'R -3 m'
_space_group_IT_number 166
_space_group_name_Hall '-R 3 2"'
_cell_length_a 8.2763
_cell_length_b 8.2763
_cell_length_c 20.1475
_cell_angle_alpha 90.00
_cell_angle_beta 90.00
_cell_angle_gamma 120.00
loop_
_atom_site_label
_atom_site_type_symbol
_atom_site_fract_x
_atom_site_fract_y
_atom_site_fract_z
Pm1 Pm 0.0000 0.0000 0.2493
Pm2 Pm 0.0050 0.5025 0.7495
As1 As 0.0000 0.5000 0.0000
P1 P 0.0000 0.0000 0.0000
S1 S 0.0000 0.0000 0.5000
S2 S 0.0000 0.5000 0.5000
```

# K3BiAs6Se12
Computed X-ray diffraction stick pattern, Cu Kα (weighted mean of Kα1 and Kα2). Input: a structure optimized by DFT (GGA-PBE).

The 6 most intense peaks (2θ from 5° to 70°), sorted by position:
Position (°2θ), intensity
11.0, 32.7
15.1, 42.6
28.5, 39.2
29.6, 100.0
35.5, 30.7
48.5, 32.5

Atomic structure:
```
data_K3BiAs6Se12
_chemical_formula_sum 'K3 Bi1 As6 Se12'
_space_group_name_H-M_alt 'P -3'
_space_group_IT_number 147
_cell_length_a 9.9301
_cell_length_b 9.9301
_cell_length_c 8.0508
_cell_angle_alpha 90.00
_cell_angle_beta 90.00
_cell_angle_gamma 120.00
loop_
_space_group_symop_operation_xyz
'x,y,z'
'-x,-y,-z'
'-y,x-y,z'
'y,-x+y,-z'
'-x+y,-x,z'
'x-y,x,-z'
loop_
_atom_site_label
_atom_site_type_symbol
_atom_site_fract_x
_atom_site_fract_y
_atom_site_fract_z
K1 K 0.0000 0.0000 0.0000
K2 K 0.3333 0.6667 0.8562
Bi1 Bi 0.0000 0.0000 0.5000
As1 As 0.1590 0.4521 0.3769
Se1 Se 0.0580 0.7869 0.7125
Se2 Se 0.0934 0.6229 0.2108
```

# Tl4CrAu
Computed X-ray diffraction stick pattern, Cu Kα (weighted mean of Kα1 and Kα2). Input: a structure optimized by DFT (GGA-PBE).

The 6 most intense peaks (2θ from 5° to 70°), sorted by position:
Position (°2θ), intensity
17.4, 28.0
28.6, 14.2
33.7, 100.0
35.2, 56.5
54.0, 35.3
59.3, 32.2

Atomic structure:
```
data_Tl4CrAu
_chemical_formula_sum 'Tl16 Cr4 Au4'
_space_group_name_H-M_alt 'F -4 3 m'
_space_group_IT_number 216
_space_group_name_Hall 'F -4 2 3'
_cell_length_a 8.8211
_cell_length_b 8.8211
_cell_length_c 8.8211
_cell_angle_alpha 90.00
_cell_angle_beta 90.00
_cell_angle_gamma 90.00
loop_
_atom_site_label
_atom_site_type_symbol
_atom_site_fract_x
_atom_site_fract_y
_atom_site_fract_z
Tl1 Tl 0.1249 0.1249 0.1249
Cr1 Cr 0.0000 0.0000 0.5000
Au1 Au 0.2500 0.2500 0.7500
```

# HoTc2C
Computed X-ray diffraction stick pattern, Cu Kα (weighted mean of Kα1 and Kα2). Input: a structure optimized by DFT (GGA-PBE).

The 6 most intense peaks (2θ from 5° to 70°), sorted by position:
Position (°2θ), intensity
30.0, 55.3
37.9, 50.6
38.6, 100.0
39.3, 68.4
40.8, 59.3
67.1, 52.2

Atomic structure:
```
data_HoTc2C
_chemical_formula_sum 'Ho4 Tc8 C4'
_space_group_name_H-M_alt 'C m c m'
_space_group_IT_number 63
_space_group_name_Hall '-C 2c 2'
_cell_length_a 3.1548
_cell_length_b 10.0135
_cell_length_c 7.3950
_cell_angle_alpha 90.00
_cell_angle_beta 90.00
_cell_angle_gamma 90.00
loop_
_atom_site_label
_atom_site_type_symbol
_atom_site_fract_x
_atom_site_fract_y
_atom_site_fract_z
Ho1 Ho 0.0000 0.0552 0.2500
Tc1 Tc 0.0000 0.3407 0.0639
C1 C 0.0000 0.2222 0.7500
```